Entry 1:
This entry pairs a crystal structure of AuI2Br6 with its calculated X-ray powder pattern. Radiation: a wavelength of 1.5418 Å. Structure: a PBE-relaxed structure.
Lines closer than 0.1° are merged.

Main lines, low angle first (5 to 70 degrees two-theta):
2theta  I_rel
10.91  66
14.10  76
17.82  100
18.04  46
21.55  78
21.93  67
24.68  73
27.31  64
27.90  85
32.86  58
33.66  55
43.65  54

Cell and atoms:
```
data_AuI2Br6
_cell_length_a 10.8765
_cell_length_b 10.8765
_cell_length_c 7.2113
_cell_angle_alpha 108.30
_cell_angle_beta 108.30
_cell_angle_gamma 72.04
_symmetry_space_group_name_H-M 'P 1'
_symmetry_Int_Tables_number 1
loop_
_symmetry_equiv_pos_as_xyz
'x,y,z'
loop_
_atom_site_label
_atom_site_fract_x
_atom_site_fract_y
_atom_site_fract_z
Au1 0.1559 0.8441 0.7500
Au2 0.8441 0.1559 0.2500
I1 0.2542 0.4747 0.4123
I2 0.4747 0.2542 0.9123
I3 0.5253 0.7458 0.0877
I4 0.7458 0.5253 0.5877
Br1 0.0338 0.7092 0.4415
Br2 0.0674 0.7618 0.9535
Br3 0.2382 0.9326 0.5465
Br4 0.2749 0.4565 0.9089
Br5 0.2908 0.9662 0.0585
Br6 0.4565 0.2749 0.4089
Br7 0.5435 0.7251 0.5911
Br8 0.7092 0.0338 0.9415
Br9 0.7251 0.5435 0.0911
Br10 0.7618 0.0674 0.4535
Br11 0.9326 0.2382 0.0465
Br12 0.9662 0.2908 0.5585
```

---

Entry 2:
This entry pairs a crystal structure of AuI2Br3 with its calculated X-ray powder pattern. Radiation: a wavelength of 1.5418 Å. Structure: a PBE-relaxed structure.
Lines closer than 0.1° are merged.

Main lines, low angle first (5 to 70 degrees two-theta):
2theta  I_rel
13.81  32
15.59  18
19.63  100
29.87  76
31.13  37
39.87  16
41.32  38
42.29  16
44.62  15
45.99  13
46.10  13
58.59  13

Cell and atoms:
```
data_AuI2Br3
_cell_length_a 9.5827
_cell_length_b 9.5827
_cell_length_c 9.6195
_cell_angle_alpha 96.20
_cell_angle_beta 96.20
_cell_angle_gamma 141.37
_symmetry_space_group_name_H-M 'P 1'
_symmetry_Int_Tables_number 1
loop_
_symmetry_equiv_pos_as_xyz
'x,y,z'
loop_
_atom_site_label
_atom_site_fract_x
_atom_site_fract_y
_atom_site_fract_z
Au1 0.1250 0.8750 0.7500
Au2 0.8750 0.1250 0.2500
I1 0.0161 0.2662 0.5345
I2 0.2662 0.0161 0.0345
I3 0.7338 0.9839 0.9655
I4 0.9839 0.7338 0.4655
Br1 0.2345 0.4845 0.9667
Br2 0.3751 0.6249 0.2500
Br3 0.4845 0.2345 0.4667
Br4 0.5155 0.7655 0.5333
Br5 0.6249 0.3751 0.7500
Br6 0.7655 0.5155 0.0333
```

---

Entry 3:
This entry pairs a crystal structure of AuI5Br2 with its calculated X-ray powder pattern. Radiation: a wavelength of 1.5418 Å. Structure: a PBE-relaxed structure.
Lines closer than 0.1° are merged.

Main lines, low angle first (5 to 70 degrees two-theta):
2theta  I_rel
10.67  31
14.14  37
18.41  28
19.33  35
21.43  100
25.16  47
31.35  39
32.37  22
32.87  30
39.23  22
40.16  22
44.41  25

Cell and atoms:
```
data_AuI5Br2
_cell_length_a 8.3706
_cell_length_b 8.3706
_cell_length_c 5.7241
_cell_angle_alpha 93.33
_cell_angle_beta 93.33
_cell_angle_gamma 82.77
_symmetry_space_group_name_H-M 'P 1'
_symmetry_Int_Tables_number 1
loop_
_symmetry_equiv_pos_as_xyz
'x,y,z'
loop_
_atom_site_label
_atom_site_fract_x
_atom_site_fract_y
_atom_site_fract_z
Au1 0.0000 0.0000 0.0000
I1 0.0398 0.6692 0.9964
I2 0.4991 0.4991 0.5833
I3 0.6241 0.9883 0.4877
I4 0.6692 0.0398 0.9964
I5 0.9883 0.6241 0.4877
Br1 0.1931 0.1931 0.9938
Br2 0.5330 0.5330 0.0903
```

---

Entry 4:
This entry pairs a crystal structure of Au2I4Br with its calculated X-ray powder pattern. Radiation: a wavelength of 1.5418 Å. Structure: a PBE-relaxed structure.
Lines closer than 0.1° are merged.

Main lines, low angle first (5 to 70 degrees two-theta):
2theta  I_rel
11.94  71
13.44  42
15.49  43
16.44  85
19.08  100
20.96  52
24.19  35
26.30  59
27.01  39
32.45  48
32.99  34
42.40  35

Cell and atoms:
```
data_Au2I4Br
_cell_length_a 8.0690
_cell_length_b 8.4732
_cell_length_c 11.3016
_cell_angle_alpha 90.38
_cell_angle_beta 105.13
_cell_angle_gamma 117.75
_symmetry_space_group_name_H-M 'P 1'
_symmetry_Int_Tables_number 1
loop_
_symmetry_equiv_pos_as_xyz
'x,y,z'
loop_
_atom_site_label
_atom_site_fract_x
_atom_site_fract_y
_atom_site_fract_z
Au1 0.0000 0.0000 0.0000
Au2 0.1170 0.5416 0.5495
Au3 0.5848 0.6101 0.4259
Au4 0.8083 0.5018 0.9179
I1 0.0207 0.2118 0.1747
I2 0.2929 0.3820 0.6980
I3 0.3840 0.5818 0.9500
I4 0.3861 0.2461 0.3429
I5 0.4668 0.7995 0.5357
I6 0.6437 0.2128 0.0117
I7 0.9598 0.7290 0.4183
I8 0.9761 0.7920 0.8222
Br1 0.4666 0.7469 0.1728
Br2 0.7907 0.2903 0.5530
```

---

Entry 5:
This entry pairs a crystal structure of Au2I2Br7 with its calculated X-ray powder pattern. Radiation: a wavelength of 1.5418 Å. Structure: a PBE-relaxed structure.
Lines closer than 0.1° are merged.

Main lines, low angle first (5 to 70 degrees two-theta):
2theta  I_rel
11.91  33
12.24  34
17.10  100
18.71  17
22.06  43
23.25  40
25.59  28
30.73  19
33.51  35
35.35  18
36.28  18
48.38  22

Cell and atoms:
```
data_Au2I2Br7
_cell_length_a 8.1681
_cell_length_b 8.1681
_cell_length_c 16.3927
_cell_angle_alpha 96.53
_cell_angle_beta 96.53
_cell_angle_gamma 112.62
_symmetry_space_group_name_H-M 'P 1'
_symmetry_Int_Tables_number 1
loop_
_symmetry_equiv_pos_as_xyz
'x,y,z'
loop_
_atom_site_label
_atom_site_fract_x
_atom_site_fract_y
_atom_site_fract_z
Au1 0.1314 0.7664 0.5704
Au2 0.2336 0.8686 0.9296
Au3 0.7664 0.1314 0.0704
Au4 0.8686 0.2336 0.4296
I1 0.1875 0.1973 0.7431
I2 0.1973 0.1875 0.2431
I3 0.8027 0.8125 0.7569
I4 0.8125 0.8027 0.2569
Br1 0.0222 0.2145 0.5994
Br2 0.1164 0.5520 0.9343
Br3 0.1745 0.3782 0.4038
Br4 0.2145 0.0222 0.0994
Br5 0.3782 0.1745 0.9038
Br6 0.4480 0.8836 0.5657
Br7 0.4957 0.5043 0.7500
Br8 0.5043 0.4957 0.2500
Br9 0.5520 0.1164 0.4343
Br10 0.6218 0.8255 0.0962
Br11 0.7855 0.9778 0.9006
Br12 0.8255 0.6218 0.5962
Br13 0.8836 0.4480 0.0657
Br14 0.9778 0.7855 0.4006
```

---

Entry 6:
This entry pairs a crystal structure of Rb2AuI2Br2 with its calculated X-ray powder pattern. Radiation: a wavelength of 1.5418 Å. Structure: a PBE-relaxed structure.
Lines closer than 0.1° are merged.

Main lines, low angle first (5 to 70 degrees two-theta):
2theta  I_rel
15.75  46
19.38  56
24.09  100
24.58  67
28.14  44
28.79  86
31.81  28
32.61  43
33.16  38
33.60  47
46.06  46
46.39  36

Cell and atoms:
```
data_Rb2AuI2Br2
_cell_length_a 6.3339
_cell_length_b 6.3339
_cell_length_c 8.9453
_cell_angle_alpha 97.55
_cell_angle_beta 97.55
_cell_angle_gamma 63.04
_symmetry_space_group_name_H-M 'P 1'
_symmetry_Int_Tables_number 1
loop_
_symmetry_equiv_pos_as_xyz
'x,y,z'
loop_
_atom_site_label
_atom_site_fract_x
_atom_site_fract_y
_atom_site_fract_z
Rb1 0.2211 0.2211 0.2570
Rb2 0.7789 0.7789 0.7430
Au1 0.5000 0.5000 0.0000
I1 0.2498 0.7502 0.5000
I2 0.7502 0.2498 0.5000
Br1 0.2846 0.2846 0.8732
Br2 0.7154 0.7154 0.1268
```

---

Entry 7:
This entry pairs a crystal structure of RbAuIBr6 with its calculated X-ray powder pattern. Radiation: a wavelength of 1.5418 Å. Structure: a PBE-relaxed structure.
Lines closer than 0.1° are merged.

Main lines, low angle first (5 to 70 degrees two-theta):
2theta  I_rel
9.43  30
13.48  70
18.53  56
18.85  26
19.55  100
19.76  24
24.39  34
24.91  24
28.56  48
32.16  42
36.04  24
38.86  23

Cell and atoms:
```
data_RbAuIBr6
_cell_length_a 5.0144
_cell_length_b 8.7211
_cell_length_c 9.5349
_cell_angle_alpha 82.18
_cell_angle_beta 81.18
_cell_angle_gamma 74.18
_symmetry_space_group_name_H-M 'P 1'
_symmetry_Int_Tables_number 1
loop_
_symmetry_equiv_pos_as_xyz
'x,y,z'
loop_
_atom_site_label
_atom_site_fract_x
_atom_site_fract_y
_atom_site_fract_z
Rb1 0.0000 0.0000 0.0000
Au1 0.5448 0.2668 0.6839
I1 0.5352 0.6323 0.3355
Br1 0.1658 0.9471 0.3638
Br2 0.3573 0.3022 0.9426
Br3 0.4451 0.5688 0.6338
Br4 0.6058 0.9695 0.7282
Br5 0.6327 0.6908 0.0557
Br6 0.7950 0.2393 0.4310
```

---

Entry 8:
This entry pairs a crystal structure of Rb3Au2IBr9 with its calculated X-ray powder pattern. Radiation: a wavelength of 1.5418 Å. Structure: a PBE-relaxed structure.
Lines closer than 0.1° are merged.

Main lines, low angle first (5 to 70 degrees two-theta):
2theta  I_rel
15.81  65
22.29  32
22.57  31
27.68  15
31.94  100
35.64  17
36.01  16
39.47  15
45.49  34
46.09  37
57.17  18
66.76  11

Cell and atoms:
```
data_Rb3Au2IBr9
_cell_length_a 7.8775
_cell_length_b 7.8775
_cell_length_c 9.8293
_cell_angle_alpha 90.00
_cell_angle_beta 90.00
_cell_angle_gamma 120.00
_symmetry_space_group_name_H-M 'P 1'
_symmetry_Int_Tables_number 1
loop_
_symmetry_equiv_pos_as_xyz
'x,y,z'
loop_
_atom_site_label
_atom_site_fract_x
_atom_site_fract_y
_atom_site_fract_z
Rb1 0.0000 0.0000 0.0000
Rb2 0.3333 0.6667 0.6900
Rb3 0.6667 0.3333 0.3100
Au1 0.3333 0.6667 0.1569
Au2 0.6667 0.3333 0.8431
I1 0.0000 0.0000 0.5000
Br1 0.0000 0.5000 0.0000
Br2 0.1756 0.3512 0.3153
Br3 0.1756 0.8244 0.3153
Br4 0.3512 0.1756 0.6847
Br5 0.5000 0.0000 0.0000
Br6 0.5000 0.5000 0.0000
Br7 0.6488 0.8244 0.3153
Br8 0.8244 0.1756 0.6847
Br9 0.8244 0.6488 0.6847
```

---

Entry 9:
This entry pairs a crystal structure of In2AuBr with its calculated X-ray powder pattern. Radiation: a wavelength of 1.5418 Å. Structure: a PBE-relaxed structure.
Lines closer than 0.1° are merged.

Main lines, low angle first (5 to 70 degrees two-theta):
2theta  I_rel
20.36  11
23.55  1
33.55  100
39.57  7
48.18  18
52.83  3
54.31  1
59.99  37
64.05  2

Cell and atoms:
```
data_In2AuBr
_cell_length_a 5.3416
_cell_length_b 5.3416
_cell_length_c 5.3416
_cell_angle_alpha 60.00
_cell_angle_beta 60.00
_cell_angle_gamma 60.00
_symmetry_space_group_name_H-M 'P 1'
_symmetry_Int_Tables_number 1
loop_
_symmetry_equiv_pos_as_xyz
'x,y,z'
loop_
_atom_site_label
_atom_site_fract_x
_atom_site_fract_y
_atom_site_fract_z
In1 0.2500 0.2500 0.2500
In2 0.7500 0.7500 0.7500
Au1 0.0000 0.0000 0.0000
Br1 0.5000 0.5000 0.5000
```

---

Entry 10:
This entry pairs a crystal structure of IrAuBrN with its calculated X-ray powder pattern. Radiation: a wavelength of 1.5418 Å. Structure: a PBE-relaxed structure.
Lines closer than 0.1° are merged.

Main lines, low angle first (5 to 70 degrees two-theta):
2theta  I_rel
17.37  31
17.75  90
27.24  100
30.18  76
31.26  43
32.70  45
37.17  44
41.11  60
41.93  33
46.70  49
55.37  21
57.16  29

Cell and atoms:
```
data_IrAuBrN
_cell_length_a 5.6113
_cell_length_b 3.2735
_cell_length_c 5.7342
_cell_angle_alpha 90.00
_cell_angle_beta 117.06
_cell_angle_gamma 90.00
_symmetry_space_group_name_H-M 'P 1'
_symmetry_Int_Tables_number 1
loop_
_symmetry_equiv_pos_as_xyz
'x,y,z'
loop_
_atom_site_label
_atom_site_fract_x
_atom_site_fract_y
_atom_site_fract_z
Ir1 0.0000 0.0000 0.0000
Au1 0.7787 0.0000 0.3068
Br1 0.5554 0.0000 0.6044
N1 0.1483 0.5000 0.0028
```

---

Entry 11:
This entry pairs a crystal structure of KAu2Br6 with its calculated X-ray powder pattern. Radiation: a wavelength of 1.5418 Å. Structure: a PBE-relaxed structure.
Lines closer than 0.1° are merged.

Main lines, low angle first (5 to 70 degrees two-theta):
2theta  I_rel
12.29  100
15.19  76
19.58  48
23.01  16
25.50  62
31.73  36
33.63  17
34.66  26
37.45  20
39.75  32
46.92  28
51.00  16

Cell and atoms:
```
data_KAu2Br6
_cell_length_a 9.6018
_cell_length_b 9.6018
_cell_length_c 8.2075
_cell_angle_alpha 105.12
_cell_angle_beta 105.12
_cell_angle_gamma 74.81
_symmetry_space_group_name_H-M 'P 1'
_symmetry_Int_Tables_number 1
loop_
_symmetry_equiv_pos_as_xyz
'x,y,z'
loop_
_atom_site_label
_atom_site_fract_x
_atom_site_fract_y
_atom_site_fract_z
K1 0.1591 0.8409 0.7500
K2 0.8409 0.1591 0.2500
Au1 0.2527 0.2534 0.1427
Au2 0.2534 0.2527 0.6427
Au3 0.7466 0.7473 0.3573
Au4 0.7473 0.7466 0.8573
Br1 0.0146 0.2008 0.9497
Br2 0.1189 0.3877 0.3921
Br3 0.2008 0.0146 0.4497
Br4 0.2984 0.4873 0.8413
Br5 0.3877 0.1189 0.8921
Br6 0.4873 0.2984 0.3413
Br7 0.5127 0.7016 0.6587
Br8 0.6123 0.8811 0.1079
Br9 0.7016 0.5127 0.1587
Br10 0.7992 0.9854 0.5503
Br11 0.8811 0.6123 0.6079
Br12 0.9854 0.7992 0.0503
```

---

Entry 12:
This entry pairs a crystal structure of K2Au2Br7 with its calculated X-ray powder pattern. Radiation: a wavelength of 1.5418 Å. Structure: a PBE-relaxed structure.
Lines closer than 0.1° are merged.

Main lines, low angle first (5 to 70 degrees two-theta):
2theta  I_rel
14.30  57
15.29  38
15.65  16
20.29  18
21.95  100
25.50  21
28.54  23
28.88  35
34.79  21
37.11  45
41.80  17
45.21  21

Cell and atoms:
```
data_K2Au2Br7
_cell_length_a 8.4999
_cell_length_b 8.4999
_cell_length_c 5.6837
_cell_angle_alpha 93.73
_cell_angle_beta 93.73
_cell_angle_gamma 85.94
_symmetry_space_group_name_H-M 'P 1'
_symmetry_Int_Tables_number 1
loop_
_symmetry_equiv_pos_as_xyz
'x,y,z'
loop_
_atom_site_label
_atom_site_fract_x
_atom_site_fract_y
_atom_site_fract_z
K1 0.2207 0.7793 0.0000
K2 0.7793 0.2207 0.0000
Au1 0.2911 0.2911 0.5128
Au2 0.7089 0.7089 0.4872
Br1 0.1007 0.4298 0.8363
Br2 0.1052 0.1052 0.3063
Br3 0.4298 0.1007 0.8363
Br4 0.5000 0.5000 0.5000
Br5 0.5702 0.8993 0.1637
Br6 0.8948 0.8948 0.6937
Br7 0.8993 0.5702 0.1637
```